(1)
Simulated powder XRD pattern of NaV2Mo for Cu Kα X-rays, from a GGA-PBE-relaxed structure.

Cell and atoms:
```
NaV2Mo
1.0
6.3011 0.0000 0.0000
0.0000 6.3011 0.0000
0.0000 0.0000 6.3011
Na V Mo
4 8 4
Cartesian
0.0000 0.0000 0.0000
0.0000 3.1506 3.1506
3.1506 0.0000 3.1506
3.1506 3.1506 0.0000
1.5753 1.5753 1.5753
1.5753 1.5753 4.7258
1.5753 4.7258 1.5753
1.5753 4.7258 4.7258
4.7258 1.5753 1.5753
4.7258 1.5753 4.7258
4.7258 4.7258 1.5753
4.7258 4.7258 4.7258
0.0000 0.0000 3.1506
0.0000 3.1506 0.0000
3.1506 0.0000 0.0000
3.1506 3.1506 3.1506
```

Top 6 peaks for 10° ≤ 2θ ≤ 90°, low angle first:
d_spacing, I/Imax
3.638, 28.4
2.228, 100.0
1.900, 13.4
1.575, 15.6
1.286, 30.3
1.114, 9.6



(2)
Simulated powder XRD pattern of Na2ZrMo for Cu Kα X-rays, from a GGA-PBE-relaxed structure.

Cell and atoms:
```
Na2ZrMo
1.0
8.5128 0.0000 0.0000
0.0000 8.5128 0.0000
0.0000 0.0000 5.1279
Na Zr Mo
8 4 4
Cartesian
1.9661 2.1282 0.6410
2.1282 6.2226 1.9230
2.1282 6.5467 4.4869
2.2903 2.1282 3.2049
6.2226 6.3846 3.2049
6.3846 1.9661 4.4869
6.3846 2.2903 1.9230
6.5467 6.3846 0.6410
0.0000 0.0000 2.5639
0.0000 4.2564 3.8459
4.2564 0.0000 1.2820
4.2564 4.2564 0.0000
0.0000 0.0000 0.0000
0.0000 4.2564 1.2820
4.2564 0.0000 3.8459
4.2564 4.2564 2.5639
```

Top 6 peaks for 10° ≤ 2θ ≤ 90°, low angle first:
d_spacing, I/Imax
4.256, 86.9
3.010, 100.0
2.359, 68.2
2.128, 36.1
1.857, 64.4
1.399, 24.5



(3)
Simulated powder XRD pattern of Nb4Mo for Cu Kα X-rays, from a GGA-PBE-relaxed structure.

Cell and atoms:
```
Nb4Mo
1.0
5.4406 0.0000 0.0000
0.0000 5.4406 0.0000
0.0000 0.0000 6.3823
Nb Mo
8 2
Cartesian
0.5542 1.4530 2.1942
1.2673 2.1661 5.3853
1.4530 4.8864 4.1881
2.1661 4.1733 0.9970
3.2745 1.2673 0.9970
3.9876 0.5542 4.1881
4.1733 3.2745 5.3853
4.8864 3.9876 2.1942
0.0000 0.0000 0.0000
2.7203 2.7203 3.1911
```

Top 6 peaks for 10° ≤ 2θ ≤ 90°, low angle first:
d_spacing, I/Imax
2.753, 43.8
2.502, 52.2
2.456, 69.0
2.433, 50.8
2.273, 100.0
1.981, 33.2



(4)
Simulated powder XRD pattern of NbMo6 for Cu Kα X-rays, from a GGA-PBE-relaxed structure.

Cell and atoms:
```
NbMo6
1.0
2.2505 1.2993 6.4336
-2.2505 1.2993 6.4336
0.0000 -2.5986 6.4336
Nb Mo
1 6
Cartesian
0.0000 0.0000 0.0000
0.0000 0.0000 2.7790
0.0000 0.0000 5.4924
0.0000 0.0000 8.2744
0.0000 0.0000 11.0265
0.0000 0.0000 13.8084
0.0000 0.0000 16.5219
```

Top 4 peaks for 10° ≤ 2θ ≤ 90°, low angle first:
d_spacing, I/Imax
2.251, 100.0
1.592, 16.3
1.299, 32.9
1.125, 10.8



(5)
Simulated powder XRD pattern of Nb3Mo5 for Cu Kα X-rays, from a GGA-PBE-relaxed structure.

Cell and atoms:
```
Nb3Mo5
1.0
3.2112 0.0000 0.0000
0.0000 4.5458 0.0000
0.0000 0.0000 18.2255
Nb Mo
6 10
Cartesian
0.0000 0.0000 0.0000
0.0000 0.0000 4.4744
0.0000 2.2729 15.9626
1.6056 0.0000 6.8499
1.6056 2.2729 9.1127
1.6056 2.2729 13.5871
0.0000 0.0000 9.1423
0.0000 0.0000 13.6458
0.0000 2.2729 2.2454
0.0000 2.2729 6.7690
0.0000 2.2729 11.3738
1.6056 0.0000 2.2611
1.6056 0.0000 11.3582
1.6056 0.0000 15.8817
1.6056 2.2729 0.0295
1.6056 2.2729 4.5331
```

Top 6 peaks for 10° ≤ 2θ ≤ 90°, low angle first:
d_spacing, I/Imax
2.274, 100.0
1.609, 10.9
1.606, 5.5
1.314, 10.8
1.312, 22.0
1.137, 8.9



(6)
Simulated powder XRD pattern of Nb6Mo5 for Cu Kα X-rays, from a GGA-PBE-relaxed structure.

Cell and atoms:
```
Nb6Mo5
1.0
4.4373 -5.4770 0.0000
4.4373 5.4770 0.0000
-2.5247 0.0000 4.0172
Nb Mo
6 5
Cartesian
0.0933 1.6701 2.8702
1.2876 0.0000 0.8209
0.0933 -1.6701 2.8702
6.2566 1.6701 1.1470
5.0622 0.0000 3.1963
6.2566 -1.6701 1.1470
4.4373 3.1838 0.0000
3.1749 1.5180 2.0086
4.4373 0.0000 0.0000
3.1749 -1.5180 2.0086
4.4373 -3.1838 0.0000
```

Top 6 peaks for 10° ≤ 2θ ≤ 90°, low angle first:
d_spacing, I/Imax
2.442, 16.1
2.372, 39.2
2.293, 100.0
2.262, 30.9
1.879, 11.4
1.355, 9.0



(7)
Simulated powder XRD pattern of Nb3Mo13 for Cu Kα X-rays, from a GGA-PBE-relaxed structure.

Cell and atoms:
```
Nb3Mo13
1.0
9.0116 0.0000 0.0000
0.0000 3.1876 4.5146
0.0000 -3.1876 4.5146
Nb Mo
3 13
Cartesian
0.0000 0.0000 0.0000
2.2615 0.0000 2.2599
6.7501 0.0000 2.2599
0.0000 0.0000 4.5187
0.0000 -1.5798 6.7741
0.0000 1.5798 6.7741
2.2616 0.0000 6.7730
2.2752 -1.5869 4.5164
2.2752 1.5869 4.5164
4.5058 0.0000 9.0276
4.5058 0.0000 4.5188
4.5058 -1.5799 6.7733
4.5058 1.5799 6.7733
6.7364 -1.5869 4.5164
6.7364 1.5869 4.5164
6.7500 0.0000 6.7730
```

Top 6 peaks for 10° ≤ 2θ ≤ 90°, low angle first:
d_spacing, I/Imax
2.255, 100.0
1.594, 16.3
1.302, 16.5
1.301, 16.4
1.129, 1.8
1.127, 9.0



(8)
Simulated powder XRD pattern of Nb4Mo for Cu Kα X-rays, from a GGA-PBE-relaxed structure.

Cell and atoms:
```
Nb4Mo
1.0
5.5549 0.0000 0.0000
0.0000 5.5549 0.0000
0.0000 0.0000 6.3930
Nb Mo
8 2
Cartesian
1.1205 1.1205 0.9922
1.1205 4.4344 5.4008
1.6569 1.6569 4.1887
1.6569 3.8980 2.2043
3.8980 1.6569 2.2043
3.8980 3.8980 4.1887
4.4344 1.1205 5.4008
4.4344 4.4344 0.9922
0.0000 0.0000 3.1965
2.7774 2.7774 0.0000
```

Top 6 peaks for 10° ≤ 2θ ≤ 90°, low angle first:
d_spacing, I/Imax
3.928, 26.9
2.777, 28.8
2.479, 100.0
2.316, 76.5
2.097, 24.8
1.964, 27.9



(9)
Simulated powder XRD pattern of Nb7Mo3 for Cu Kα X-rays, from a GGA-PBE-relaxed structure.

Cell and atoms:
```
Nb7Mo3
1.0
8.7193 0.0000 0.0000
-4.3596 7.5511 0.0000
0.0000 0.0000 5.5948
Nb Mo
14 6
Cartesian
-2.1798 3.7756 0.0000
-2.1798 3.7756 2.7974
0.0000 1.8035 1.3987
-2.7978 6.6494 1.3987
1.5619 0.9017 4.1961
0.0000 5.0341 1.3987
4.3596 0.0000 0.0000
4.3596 0.0000 2.7974
2.1798 3.7756 0.0000
2.1798 3.7756 2.7974
4.3596 2.5170 4.1961
2.7978 6.6494 1.3987
7.1574 0.9017 4.1961
4.3596 5.7476 4.1961
0.0000 3.3244 4.1961
-1.4806 5.8889 4.1961
2.8790 1.6622 1.3987
1.4806 5.8889 4.1961
5.8402 1.6622 1.3987
4.3596 4.2267 1.3987
```

Top 6 peaks for 10° ≤ 2θ ≤ 90°, low angle first:
d_spacing, I/Imax
2.542, 62.1
2.295, 94.6
2.248, 100.0
2.180, 33.6
1.498, 23.8
1.290, 32.6



(10)
Simulated powder XRD pattern of Nb4Mo5 for Cu Kα X-rays, from a GGA-PBE-relaxed structure.

Cell and atoms:
```
Nb4Mo5
1.0
0.0000 4.8635 6.8236
2.2770 0.0000 6.8236
2.2770 4.8635 0.0000
Nb Mo
4 5
Cartesian
2.2770 3.2760 2.2498
2.2770 6.4510 2.2498
2.2770 3.2760 11.3974
2.2770 6.4510 11.3974
0.0000 0.0000 0.0000
2.2770 3.2620 6.8236
2.2770 4.8635 4.5889
2.2770 4.8635 9.0583
2.2770 6.4649 6.8236
```

Top 6 peaks for 10° ≤ 2θ ≤ 90°, low angle first:
d_spacing, I/Imax
2.284, 100.0
2.276, 49.5
1.609, 16.2
1.320, 16.5
1.316, 32.6
1.142, 10.5



(11)
Simulated powder XRD pattern of Nb2Mo for Cu Kα X-rays, from a GGA-PBE-relaxed structure.

Cell and atoms:
```
Nb2Mo
1.0
4.6092 0.0000 0.0000
0.0000 4.5635 0.0000
-2.2742 0.0000 4.9447
Nb Mo
4 2
Cartesian
0.0105 0.0000 1.5914
0.0199 2.2817 3.3533
2.3151 2.2817 1.5914
2.3245 0.0000 3.3533
0.0000 2.2817 0.0000
2.3046 0.0000 0.0000
```

Top 6 peaks for 10° ≤ 2θ ≤ 90°, low angle first:
d_spacing, I/Imax
2.317, 67.4
2.306, 100.0
2.282, 32.5
1.648, 11.2
1.621, 21.8
1.336, 16.3



(12)
Simulated powder XRD pattern of NbNiMo for Cu Kα X-rays, from a GGA-PBE-relaxed structure.

Cell and atoms:
```
NbNiMo
1.0
4.8077 0.0000 0.0000
0.0000 6.1342 0.0000
0.0000 0.0000 6.1261
Nb Ni Mo
4 4 4
Cartesian
1.2019 0.9641 0.0000
1.2019 2.1030 3.0631
3.6057 4.0312 3.0631
3.6057 5.1701 0.0000
0.0000 0.0000 4.0103
0.0000 3.0671 0.9473
2.4038 0.0000 4.0103
2.4038 3.0671 0.9473
1.2019 4.0354 4.9850
1.2019 5.1659 1.9220
3.6057 0.9683 1.9220
3.6057 2.0988 4.9850
```

Top 6 peaks for 10° ≤ 2θ ≤ 90°, low angle first:
d_spacing, I/Imax
2.382, 100.0
2.102, 23.8
1.939, 34.7
1.892, 22.1
1.384, 17.1
1.238, 16.8



(13)
Simulated powder XRD pattern of NbNi14Mo for Cu Kα X-rays, from a GGA-PBE-relaxed structure.

Cell and atoms:
```
NbNi14Mo
1.0
5.1057 0.0000 0.0000
0.0000 5.1057 0.0000
0.0000 0.0000 7.0884
Nb Ni Mo
1 14 1
Cartesian
0.0000 0.0000 0.0000
0.0000 0.0000 3.5442
0.0000 2.5528 0.0000
0.0000 2.5528 3.5442
1.2872 1.2872 1.8097
1.2872 1.2872 5.2787
1.2872 3.8184 1.8097
1.2872 3.8184 5.2787
2.5528 0.0000 0.0000
2.5528 0.0000 3.5442
2.5528 2.5528 3.5442
3.8184 1.2872 1.8097
3.8184 1.2872 5.2787
3.8184 3.8184 1.8097
3.8184 3.8184 5.2787
2.5528 2.5528 0.0000
```

Top 6 peaks for 10° ≤ 2θ ≤ 90°, low angle first:
d_spacing, I/Imax
3.217, 1.1
2.071, 100.0
1.805, 31.9
1.772, 14.8
1.276, 9.3
1.265, 17.9



(14)
Simulated powder XRD pattern of ZrNbNiMo for Cu Kα X-rays, from a GGA-PBE-relaxed structure.

Cell and atoms:
```
ZrNbNiMo
1.0
6.4530 0.0000 0.0000
0.0000 6.4530 0.0000
0.0000 0.0000 6.4530
Zr Nb Ni Mo
4 4 4 4
Cartesian
0.0000 0.0000 0.0000
0.0000 3.2265 3.2265
3.2265 0.0000 3.2265
3.2265 3.2265 0.0000
0.0000 0.0000 3.2265
0.0000 3.2265 0.0000
3.2265 0.0000 0.0000
3.2265 3.2265 3.2265
1.6133 1.6133 1.6133
1.6133 4.8398 4.8398
4.8398 1.6133 4.8398
4.8398 4.8398 1.6133
1.6133 1.6133 4.8398
1.6133 4.8398 1.6133
4.8398 1.6133 1.6133
4.8398 4.8398 4.8398
```

Top 6 peaks for 10° ≤ 2θ ≤ 90°, low angle first:
d_spacing, I/Imax
3.726, 2.2
2.281, 100.0
1.946, 1.1
1.613, 16.4
1.317, 32.4
1.141, 10.3